Calculated X-ray powder pattern
Compound: Rb3CaTa2O8
Radiation: Cu Kα (weighted mean of Kα1 and Kα2)
Structure: the GGA-PBE geometry in Alexandria
Kinematic intensities with the Lorentz-polarization factor, no thermal factor.

```
data_Rb3CaTa2O8
_chemical_formula_sum 'Rb3 Ca1 Ta2 O8'
_cell_length_a 6.3108
_cell_length_b 6.3108
_cell_length_c 8.1101
_cell_angle_alpha 90.00
_cell_angle_beta 90.00
_cell_angle_gamma 120.00
_space_group_name_H-M_alt 'P -3 m 1'
_space_group_IT_number 164
_space_group_name_Hall '-P 3 2"'
loop_
_atom_site_label
_atom_site_type_symbol
_atom_site_fract_x
_atom_site_fract_y
_atom_site_fract_z
Rb1 Rb 0.0000 0.0000 0.0000
Rb2 Rb 0.3333 0.6667 0.6753
Ca1 Ca 0.0000 0.0000 0.5000
Ta1 Ta 0.3333 0.6667 0.2399
O1 O 0.1732 0.3463 0.3220
O2 O 0.3333 0.6667 0.0100
```

Peak list (8 most intense, 5° ≤ 2θ ≤ 70°, in order of falling intensity)
d [Å]	I (rel.)
3.155	100
3.257	65
4.532	50
2.266	35
1.841	25
1.822	20
2.490	18
4.055	18